Theoretical X-ray powder pattern of Ba5Co4PtClO13 for Cu Kα, 1.54184 Å, from a crystal structure in Alexandria, relaxed with PBE+U.
Kinematic intensities with the Lorentz-polarization factor, no thermal factor.

Structural model:
```
data_Ba5Co4PtClO13
_chemical_formula_sum 'Ba10 Co8 Pt2 Cl2 O26'
_cell_length_a 5.8329
_cell_length_b 5.8329
_cell_length_c 25.1692
_cell_angle_alpha 90.00
_cell_angle_beta 90.00
_cell_angle_gamma 120.00
_space_group_name_H-M_alt 'P 63/m m c'
_space_group_IT_number 194
_space_group_name_Hall '-P 6c 2c'
loop_
_atom_site_label
_atom_site_type_symbol
_atom_site_fract_x
_atom_site_fract_y
_atom_site_fract_z
_atom_site_occupancy
Ba1 Ba 0.0000 0.0000 0.2500 1
Ba2 Ba 0.3333 0.6667 0.0386 1
Ba3 Ba 0.3333 0.6667 0.6286 1
Co1 Co 0.0000 0.0000 0.1090 1
Co2 Co 0.3333 0.6667 0.1779 1
Pt1 Pt 0.0000 0.0000 0.0000 1
Cl1 Cl 0.3333 0.6667 0.7500 1
O1 O 0.1528 0.3056 0.5527 1
O2 O 0.1641 0.3281 0.1521 1
O3 O 0.3333 0.6667 0.2500 1
```

Principal peaks in the range 10 to 80 degrees two-theta, most intense first:
| d/Å | two_theta | Rel. int. |
| --- | --- | --- |
| 2.916 | 30.65 | 1000 |
| 2.929 | 30.52 | 393 |
| 1.685 | 54.46 | 336 |
| 2.256 | 39.96 | 239 |
| 3.939 | 22.57 | 210 |
| 2.139 | 42.25 | 199 |
| 3.566 | 24.97 | 178 |
| 1.458 | 63.83 | 168 |
| 2.067 | 43.80 | 162 |
| 2.671 | 33.56 | 150 |